Record 1
Starting from a GGA-PBE-relaxed structure, the X-ray diffraction stick pattern of CaTmScCd was simulated for Cu Kα, 1.54184 Å.

Main lines, sorted by position (2θ from 10° to 80°):
hkl, d_spacing, 2θ (°), I_rel
1 1 1, 4.400, 20.2, 34
2 2 0, 2.694, 33.3, 100
3 1 1, 2.298, 39.2, 19
4 0 0, 1.905, 47.7, 18
3 3 1, 1.748, 52.3, 9
4 2 2, 1.555, 59.4, 36
5 1 1, 1.467, 63.4, 7
4 4 0, 1.347, 69.8, 11
5 3 1, 1.288, 73.5, 6
6 2 0, 1.205, 79.6, 15

Cell and atoms:
```
data_CaTmScCd
_space_group_name_H-M_alt 'F -4 3 m'
_space_group_IT_number 216
_space_group_name_Hall 'F -4 2 3'
_cell_length_a 7.6202
_cell_length_b 7.6202
_cell_length_c 7.6202
_cell_angle_alpha 90.00
_cell_angle_beta 90.00
_cell_angle_gamma 90.00
loop_
_atom_site_label
_atom_site_type_symbol
_atom_site_fract_x
_atom_site_fract_y
_atom_site_fract_z
_atom_site_occupancy
Ca1 Ca 0.0000 0.0000 0.0000 1
Tm1 Tm 0.0000 0.0000 0.5000 1
Sc1 Sc 0.2500 0.2500 0.2500 1
Cd1 Cd 0.2500 0.2500 0.7500 1
```

---

Record 2
Starting from a GGA-PBE-relaxed structure, the X-ray diffraction stick pattern of AcDyEr2Tm4 was simulated for Cu Kα, 1.54184 Å.

Main lines, sorted by position (2θ from 10° to 80°):
hkl, d_spacing, 2θ (°), I_rel
1 1 2, 2.908, 30.7, 100
0 2 0, 2.529, 35.5, 17
2 0 0, 2.518, 35.7, 17
0 0 4, 2.509, 35.8, 16
2 2 0, 1.783, 51.2, 24
2 0 4, 1.777, 51.4, 12
1 3 2, 1.523, 60.8, 15
3 1 2, 1.518, 61.0, 14
1 1 6, 1.515, 61.2, 14
2 2 4, 1.454, 64.0, 12

Cell and atoms:
```
data_AcDyEr2Tm4
_space_group_name_H-M_alt 'P m m m'
_space_group_IT_number 47
_space_group_name_Hall '-P 2 2'
_cell_length_a 5.0351
_cell_length_b 5.0576
_cell_length_c 10.0376
_cell_angle_alpha 90.00
_cell_angle_beta 90.00
_cell_angle_gamma 90.00
loop_
_atom_site_label
_atom_site_type_symbol
_atom_site_fract_x
_atom_site_fract_y
_atom_site_fract_z
_atom_site_occupancy
Ac1 Ac 0.0000 0.0000 0.0000 1
Dy1 Dy 0.5000 0.5000 0.5000 1
Er1 Er 0.0000 0.0000 0.5000 1
Er2 Er 0.5000 0.5000 0.0000 1
Tm1 Tm 0.0000 0.5000 0.2590 1
Tm2 Tm 0.5000 0.0000 0.2594 1
```

---

Record 3
Starting from a GGA-PBE-relaxed structure, the X-ray diffraction stick pattern of CrIrRh was simulated for Cu Kα, 1.54184 Å.

Main lines, sorted by position (2θ from 10° to 80°):
hkl, d_spacing, 2θ (°), I_rel
1 0 -1, 4.440, 20.0, 41
-2 1 2, 2.203, 41.0, 41
-2 2 1, 2.188, 41.3, 100
0 2 1, 2.183, 41.4, 46
1 2 -2, 2.138, 42.3, 93
1 -2 2, 2.121, 42.6, 93
1 0 -3, 2.090, 43.3, 39
2 0 0, 2.075, 43.6, 89
1 -3 0, 2.066, 43.8, 35
1 3 0, 1.464, 63.5, 33

Cell and atoms:
```
data_CrIrRh
_space_group_name_H-M_alt 'P -1'
_space_group_IT_number 2
_space_group_name_Hall '-P 1'
_cell_length_a 4.9483
_cell_length_b 6.3399
_cell_length_c 6.4155
_cell_angle_alpha 102.16
_cell_angle_beta 110.56
_cell_angle_gamma 109.47
loop_
_atom_site_label
_atom_site_type_symbol
_atom_site_fract_x
_atom_site_fract_y
_atom_site_fract_z
_atom_site_occupancy
Cr1 Cr 0.2345 0.4027 0.2448 1
Cr2 Cr 0.2554 0.8180 0.1802 1
Ir1 Ir 0.2279 0.4751 0.8472 1
Ir2 Ir 0.2531 0.0769 0.9312 1
Rh1 Rh 0.2595 0.1637 0.5151 1
Rh2 Rh 0.2668 0.7469 0.5959 1
```

---

Record 4
Starting from a GGA-PBE-relaxed structure, the X-ray diffraction stick pattern of Dy3Ge2RuC was simulated for Cu Kα, 1.54184 Å.

Main lines, sorted by position (2θ from 10° to 80°):
hkl, d_spacing, 2θ (°), I_rel
0 1 3, 3.485, 25.6, 21
1 1 2, 2.824, 31.7, 98
0 0 6, 2.587, 34.7, 51
1 1 4, 2.389, 37.6, 100
0 2 0, 2.357, 38.2, 42
2 0 0, 1.980, 45.8, 25
0 2 6, 1.742, 52.5, 29
2 0 6, 1.572, 58.7, 22
2 2 0, 1.516, 61.1, 21
2 2 6, 1.308, 72.2, 23

Cell and atoms:
```
data_Dy3Ge2RuC
_space_group_name_H-M_alt 'I m m m'
_space_group_IT_number 71
_space_group_name_Hall '-I 2 2'
_cell_length_a 3.9601
_cell_length_b 4.7136
_cell_length_c 15.5232
_cell_angle_alpha 90.00
_cell_angle_beta 90.00
_cell_angle_gamma 90.00
loop_
_atom_site_label
_atom_site_type_symbol
_atom_site_fract_x
_atom_site_fract_y
_atom_site_fract_z
_atom_site_occupancy
Dy1 Dy 0.0000 0.0000 0.0000 1
Dy2 Dy 0.0000 0.5000 0.1637 1
Ge1 Ge 0.0000 0.5000 0.3538 1
Ru1 Ru 0.0000 0.0000 0.5000 1
C1 C 0.0000 0.5000 0.0000 1
```

---

Record 5
Starting from a GGA-PBE-relaxed structure, the X-ray diffraction stick pattern of TiCuI4 was simulated for Cu Kα, 1.54184 Å.

Main lines, sorted by position (2θ from 10° to 80°):
hkl, d_spacing, 2θ (°), I_rel
0 0 2, 4.945, 17.9, 100
2 0 0, 3.917, 22.7, 43
2 0 2, 3.070, 29.1, 46
2 2 0, 2.770, 32.3, 45
0 0 4, 2.473, 36.3, 17
2 2 2, 2.416, 37.2, 61
4 0 0, 1.958, 46.4, 16
2 2 4, 1.845, 49.4, 27
4 0 2, 1.821, 50.1, 25
6 2 2, 1.201, 79.9, 17

Cell and atoms:
```
data_TiCuI4
_space_group_name_H-M_alt 'P 42/m m c'
_space_group_IT_number 131
_space_group_name_Hall '-P 4c 2'
_cell_length_a 7.8339
_cell_length_b 7.8339
_cell_length_c 9.8903
_cell_angle_alpha 90.00
_cell_angle_beta 90.00
_cell_angle_gamma 90.00
loop_
_atom_site_label
_atom_site_type_symbol
_atom_site_fract_x
_atom_site_fract_y
_atom_site_fract_z
_atom_site_occupancy
Ti1 Ti 0.0000 0.5000 0.0000 1
Cu1 Cu 0.0000 0.0000 0.0000 1
I1 I 0.2407 0.2500 0.0000 1
```

---

Record 6
Starting from a GGA-PBE-relaxed structure, the X-ray diffraction stick pattern of ZrVCuTc was simulated for Cu Kα, 1.54184 Å.

Main lines, sorted by position (2θ from 10° to 80°):
hkl, d_spacing, 2θ (°), I_rel
1 1 1, 3.646, 24.4, 7
2 0 0, 3.158, 28.3, 1
2 2 0, 2.233, 40.4, 100
3 1 1, 1.904, 47.8, 4
4 0 0, 1.579, 58.5, 16
3 3 1, 1.449, 64.3, 2
4 2 2, 1.289, 73.5, 31
5 1 1, 1.215, 78.7, 1

Cell and atoms:
```
data_ZrVCuTc
_space_group_name_H-M_alt 'F -4 3 m'
_space_group_IT_number 216
_space_group_name_Hall 'F -4 2 3'
_cell_length_a 6.3157
_cell_length_b 6.3157
_cell_length_c 6.3157
_cell_angle_alpha 90.00
_cell_angle_beta 90.00
_cell_angle_gamma 90.00
loop_
_atom_site_label
_atom_site_type_symbol
_atom_site_fract_x
_atom_site_fract_y
_atom_site_fract_z
_atom_site_occupancy
Zr1 Zr 0.0000 0.0000 0.0000 1
V1 V 0.0000 0.0000 0.5000 1
Cu1 Cu 0.2500 0.2500 0.2500 1
Tc1 Tc 0.2500 0.2500 0.7500 1
```